1.
# Cr3P2O8
Simulated powder diffraction line list, Cu Kα X-rays. Input: the PBE+U geometry in the Materials Project.
Kinematic intensities with the Lorentz-polarization factor, no thermal factor.

Peak list (10 most intense, 2θ = 15–90°, low angle first)
2θ (°)  I_rel
16.4  44
19.9  29
22.4  100
23.0  25
24.5  46
27.2  20
31.1  83
37.5  23
40.3  29
41.2  20

Structure:
Cell: 4.837 10.782 8.749 Å, 90.00 115.14 90.00°
Element x y z (fractional)
1 Cr 0.000 0.000 0.000
2 Cr 0.000 0.500 0.500
3 Cr 0.024 0.182 0.545
4 Cr 0.024 0.318 0.045
5 Cr 0.976 0.682 0.955
6 Cr 0.976 0.818 0.455
7 P 0.468 0.181 0.912
8 P 0.468 0.319 0.412
9 P 0.532 0.681 0.588
10 P 0.532 0.819 0.088
11 O 0.166 0.173 0.941
12 O 0.166 0.327 0.441
13 O 0.271 0.612 0.443
14 O 0.271 0.888 0.943
15 O 0.401 0.122 0.738
16 O 0.401 0.378 0.238
17 O 0.436 0.681 0.084
18 O 0.436 0.819 0.584
19 O 0.564 0.181 0.416
20 O 0.564 0.319 0.916
21 O 0.599 0.622 0.762
22 O 0.599 0.878 0.262
23 O 0.729 0.112 0.057
24 O 0.729 0.388 0.557
25 O 0.834 0.673 0.559
26 O 0.834 0.827 0.059

2.
# NaWO3
Simulated powder diffraction line list, Cu Kα X-rays. Input: the PBE+U geometry in the Materials Project.
Kinematic intensities with the Lorentz-polarization factor, no thermal factor.

Peak list (10 most intense, 2θ = 15–90°, low angle first)
2θ (°)  I_rel
22.4  100
31.9  97
39.3  12
45.7  32
51.5  43
56.8  39
66.6  19
71.3  20
75.8  17
88.9  10

Structure:
Cell: 3.970 3.970 3.970 Å, 90.00 90.00 90.00°
Element x y z (fractional)
1 Na 0.000 0.000 0.000
2 W 0.500 0.500 0.500
3 O 0.000 0.500 0.500
4 O 0.500 0.000 0.500
5 O 0.500 0.500 0.000

3.
# Ca3Si4Ni2O14
Simulated powder diffraction line list, Cu Kα X-rays. Input: the PBE+U geometry in the Materials Project.
Kinematic intensities with the Lorentz-polarization factor, no thermal factor.

Peak list (10 most intense, 2θ = 15–90°, low angle first)
2θ (°)  I_rel
27.8  83
28.8  25
29.2  63
30.0  24
31.8  100
32.6  62
36.0  25
38.1  19
39.8  61
44.9  18

Structure:
Cell: 9.267 9.267 10.043 Å, 119.84 119.84 48.40°
Element x y z (fractional)
1 Ca 0.157 0.843 0.750
2 Ca 0.274 0.335 0.542
3 Ca 0.335 0.274 0.042
4 Ca 0.665 0.726 0.958
5 Ca 0.726 0.665 0.458
6 Ca 0.843 0.157 0.250
7 Si 0.035 0.614 0.844
8 Si 0.041 0.709 0.353
9 Si 0.291 0.959 0.147
10 Si 0.386 0.965 0.656
11 Si 0.614 0.035 0.344
12 Si 0.709 0.041 0.853
13 Si 0.959 0.291 0.647
14 Si 0.965 0.386 0.156
15 Ni 0.286 0.714 0.250
16 Ni 0.500 0.500 0.000
17 Ni 0.500 0.500 0.500
18 Ni 0.714 0.286 0.750
19 O 0.008 0.548 0.181
20 O 0.030 0.608 0.679
21 O 0.047 0.851 0.309
22 O 0.149 0.953 0.191
23 O 0.159 0.169 0.091
24 O 0.169 0.159 0.591
25 O 0.214 0.617 0.503
26 O 0.240 0.558 0.984
27 O 0.383 0.786 0.997
28 O 0.392 0.970 0.821
29 O 0.396 0.476 0.284
30 O 0.442 0.760 0.516
31 O 0.452 0.992 0.319
32 O 0.476 0.396 0.784
33 O 0.524 0.604 0.216
34 O 0.548 0.008 0.681
35 O 0.558 0.240 0.484
36 O 0.604 0.524 0.716
37 O 0.608 0.030 0.179
38 O 0.617 0.214 0.003
39 O 0.760 0.442 0.016
40 O 0.786 0.383 0.497
41 O 0.831 0.841 0.409
42 O 0.841 0.831 0.909
43 O 0.851 0.047 0.809
44 O 0.953 0.149 0.691
45 O 0.970 0.392 0.321
46 O 0.992 0.452 0.819